Structure and calculated powder XRD pattern of Sb2S3O12 (the GGA-PBE geometry in the Materials Project; Cu Kα, 1.54184 Å).
No peak broadening, texture or thermal motion is included.

Structural model:
```
Sb2S3O12
1.0
7.0163 -4.5616 0.0000
7.0163 4.5616 0.0000
-4.0446 0.0000 8.3692
Sb S O
4 6 24
Direct
0.1287 0.6439 0.9730
0.3561 0.8713 0.5270
0.6439 0.1287 0.4730
0.8713 0.3561 0.0270
0.0440 0.2547 0.6734
0.2547 0.0440 0.1734
0.4394 0.5606 0.7500
0.5606 0.4394 0.2500
0.7453 0.9560 0.8266
0.9560 0.7453 0.3266
0.0112 0.3620 0.5696
0.0408 0.3659 0.8440
0.0927 0.8446 0.3781
0.1107 0.2291 0.1888
0.1554 0.9073 0.1219
0.2291 0.1107 0.6888
0.2847 0.6061 0.8199
0.3620 0.0112 0.0696
0.3659 0.0408 0.3440
0.3907 0.4486 0.1240
0.3939 0.7153 0.6801
0.4486 0.3907 0.6240
0.5514 0.6093 0.3760
0.6061 0.2847 0.3199
0.6093 0.5514 0.8760
0.6341 0.9592 0.6560
0.6380 0.9888 0.9304
0.7153 0.3939 0.1801
0.7709 0.8893 0.3112
0.8446 0.0927 0.8781
0.8893 0.7709 0.8112
0.9073 0.1554 0.6219
0.9592 0.6341 0.1560
0.9888 0.6380 0.4304
```

Principal peaks in the range 10 to 90 degrees two-theta, low angle first:
2θ = 13.81°, I = 100.0; 2θ = 17.91°, I = 97.1; 2θ = 21.40°, I = 60.6; 2θ = 28.96°, I = 95.7; 2θ = 29.26°, I = 72.1; 2θ = 31.34°, I = 73.4